# 1
# Th3Cu2Ni7
Simulated powder diffractogram, CuKα. Input: a crystal structure in Alexandria, relaxed with GGA-PBE.

Cell and atoms:
Unit cell a=5.0727 b=5.0727 c=25.0595 alpha=90.00 beta=90.00 gamma=120.00
Space group R-3m (No. 166, hexagonal axes)
Unique sites:
Th: 0.0000 0.0000 0.0000 (multiplicity 3)
Th: 0.0000 0.0000 0.1375 (multiplicity 6)
Cu: 0.0000 0.0000 0.3325 (multiplicity 6)
Ni: 0.0000 0.0000 0.5000 (multiplicity 3)
Ni: 0.0020 0.5010 0.0820 (multiplicity 18)

Peak list (6 most intense, 15 to 90 degrees two-theta, by angle)
(hkl), 2theta, I_rel
1 0 1, 20.53, 31.2
1 0 7, 32.26, 65.2
0 1 8, 35.19, 52.2
1 1 0, 35.39, 68.0
0 2 1, 41.26, 41.9
1 1 6, 41.67, 100.0

***

# 2
# Tb12Zn6Ru
Simulated powder diffractogram, CuKα. Input: a crystal structure in Alexandria, relaxed with GGA-PBE.

Cell and atoms:
Unit cell a=11.6648 b=11.6648 c=13.0817 alpha=90.00 beta=90.00 gamma=120.00
Space group R-3 (No. 148, hexagonal axes)
Unique sites:
Tb: 0.0330 0.1927 0.3721 (multiplicity 18)
Tb: 0.0398 0.8453 0.8925 (multiplicity 18)
Zn: 0.0024 0.6017 0.7601 (multiplicity 18)
Ru: 0.0000 0.0000 0.5000 (multiplicity 3)

Peak list (6 most intense, 15 to 90 degrees two-theta, by angle)
(hkl), 2theta, I_rel
2 1 1, 24.28, 34.3
1 0 4, 28.69, 59.4
1 3 1, 32.68, 100.0
3 1 2, 34.84, 40.3
3 -1 4, 36.16, 43.0
2 2 3, 37.09, 84.3

***

# 3
# Ca2Ag2RuO6
Simulated powder diffractogram, CuKα. Input: a crystal structure in Alexandria, relaxed with GGA-PBE.

Cell and atoms:
Unit cell a=5.894 b=9.580 c=6.235 alpha=90.00 beta=116.45 gamma=90.00
Space group C2/m (No. 12)
Unique sites:
Ca: 0.000 0.162 0.000 (multiplicity 4)
Ag: 0.000 0.308 0.500 (multiplicity 4)
Ru: 0.000 0.500 0.000 (multiplicity 2)
O: 0.171 0.500 0.788 (multiplicity 4)
O: 0.236 0.352 0.191 (multiplicity 8)

Peak list (6 most intense, 15 to 90 degrees two-theta, by angle)
(hkl), 2theta, I_rel
1 1 0, 19.20, 76.2
0 2 1, 24.49, 91.2
0 0 2, 32.07, 46.1
1 3 -1, 33.01, 69.9
2 0 -2, 34.87, 74.0
1 3 1, 39.94, 100.0

***

# 4
# ErThCS
Simulated powder diffractogram, CuKα. Input: a crystal structure in Alexandria, relaxed with GGA-PBE.

Cell and atoms:
Unit cell a=3.7748 b=3.7748 c=19.4178 alpha=90.00 beta=90.00 gamma=120.00
Space group R3m (No. 160, hexagonal axes)
Unique sites:
Er: 0.0000 0.0000 0.0000 (multiplicity 3)
Th: 0.0000 0.0000 0.5246 (multiplicity 3)
C: 0.0000 0.0000 0.2622 (multiplicity 3)
S: 0.0000 0.0000 0.7563 (multiplicity 3)

Peak list (6 most intense, 15 to 90 degrees two-theta, by angle)
(hkl), 2theta, I_rel
0 0 6, 27.56, 28.5
0 1 2, 28.82, 94.7
1 0 4, 33.03, 100.0
0 1 8, 46.61, 28.8
1 1 0, 48.22, 37.8
1 1 6, 56.44, 26.1

***

# 5
# Sc7C5
Simulated powder diffractogram, CuKα. Input: a crystal structure in Alexandria, relaxed with GGA-PBE.

Cell and atoms:
Unit cell a=10.929 b=3.323 c=9.834 alpha=90.00 beta=106.06 gamma=90.00
Space group C2/m (No. 12)
Unique sites:
Sc: 0.000 0.000 0.000 (multiplicity 2)
Sc: 0.046 0.500 0.286 (multiplicity 4)
Sc: 0.152 0.000 0.554 (multiplicity 4)
Sc: 0.235 0.000 0.865 (multiplicity 4)
C: 0.000 0.500 0.500 (multiplicity 2)
C: 0.115 0.500 0.925 (multiplicity 4)
C: 0.191 0.000 0.310 (multiplicity 4)

Peak list (6 most intense, 15 to 90 degrees two-theta, by angle)
(hkl), 2theta, I_rel
4 0 -1, 32.75, 57.8
1 1 2, 35.40, 36.6
3 1 -1, 36.68, 22.6
2 0 3, 37.14, 100.0
3 1 -2, 38.57, 50.7
2 2 3, 68.49, 27.6

***

# 6
# RbSnTeBr2
Simulated powder diffractogram, CuKα. Input: a crystal structure in Alexandria, relaxed with GGA-PBE.

Cell and atoms:
Unit cell a=5.808 b=5.808 c=5.779 alpha=90.00 beta=90.00 gamma=90.00
Space group P4/mmm (No. 123)
Unique sites:
Rb: 0.000 0.000 0.000 (multiplicity 1)
Sn: 0.500 0.500 0.500 (multiplicity 1)
Te: 0.500 0.500 0.000 (multiplicity 1)
Br: 0.000 0.500 0.500 (multiplicity 2)

Peak list (6 most intense, 15 to 90 degrees two-theta, by angle)
(hkl), 2theta, I_rel
1 0 0, 15.26, 60.5
1 1 0, 21.66, 40.3
1 1 1, 26.63, 77.2
2 0 0, 30.79, 100.0
0 0 2, 30.95, 49.3
2 0 2, 44.22, 73.1

***

# 7
# Li4Ti3Sn5O16
Simulated powder diffractogram, CuKα. Input: a crystal structure in Alexandria, relaxed with GGA-PBE.

Cell and atoms:
Unit cell a=10.807 b=6.189 c=10.954 alpha=90.00 beta=90.12 gamma=90.00
Space group Cm (No. 8)
Unique sites:
Li: 0.000 0.000 0.000 (multiplicity 2)
Li: 0.003 0.000 0.505 (multiplicity 2)
Li: 0.159 0.500 0.135 (multiplicity 2)
Li: 0.328 0.000 0.649 (multiplicity 2)
Ti: 0.082 0.257 0.783 (multiplicity 4)
Ti: 0.169 0.000 0.279 (multiplicity 2)
Sn: 0.157 0.500 0.488 (multiplicity 2)
Sn: 0.325 0.000 0.985 (multiplicity 2)
Sn: 0.329 0.500 0.784 (multiplicity 2)
Sn: 0.412 0.249 0.282 (multiplicity 4)
O: 0.006 0.500 0.695 (multiplicity 2)
O: 0.072 0.221 0.388 (multiplicity 4)
O: 0.140 0.000 0.884 (multiplicity 2)
O: 0.153 0.500 0.884 (multiplicity 2)
O: 0.233 0.257 0.693 (multiplicity 4)
O: 0.240 0.230 0.188 (multiplicity 4)
O: 0.322 0.000 0.384 (multiplicity 2)
O: 0.344 0.500 0.390 (multiplicity 2)
O: 0.423 0.272 0.889 (multiplicity 4)
O: 0.484 0.000 0.180 (multiplicity 2)
O: 0.498 0.500 0.180 (multiplicity 2)
O: 0.499 0.500 0.685 (multiplicity 2)

Peak list (6 most intense, 15 to 90 degrees two-theta, by angle)
(hkl), 2theta, I_rel
0 0 2, 16.18, 94.2
2 0 -1, 18.35, 100.0
2 0 2, 23.15, 45.6
2 0 3, 29.55, 62.2
3 1 -2, 33.10, 72.7
2 2 1, 34.39, 66.8

***

# 8
# Cd2SnHg5Pb
Simulated powder diffractogram, CuKα. Input: a crystal structure in Alexandria, relaxed with GGA-PBE.

Cell and atoms:
Unit cell a=3.655 b=16.874 c=15.313 alpha=90.00 beta=90.00 gamma=90.00
Space group Cmc2_1 (No. 36)
Unique sites:
Cd: 0.000 0.078 0.000 (multiplicity 4)
Cd: 0.000 0.125 0.679 (multiplicity 4)
Sn: 0.000 0.216 0.247 (multiplicity 4)
Hg: 0.000 0.059 0.359 (multiplicity 4)
Hg: 0.000 0.259 0.909 (multiplicity 4)
Hg: 0.000 0.276 0.570 (multiplicity 4)
Hg: 0.000 0.398 0.340 (multiplicity 4)
Hg: 0.000 0.410 0.021 (multiplicity 4)
Pb: 0.000 0.453 0.674 (multiplicity 4)

Peak list (6 most intense, 15 to 90 degrees two-theta, by angle)
(hkl), 2theta, I_rel
1 1 3, 30.55, 29.2
0 6 0, 31.82, 20.0
0 6 1, 32.37, 23.4
1 3 3, 34.13, 100.0
0 2 6, 36.79, 24.1
2 0 0, 49.91, 15.1

***

# 9
# Sm2S3
Simulated powder diffractogram, CuKα. Input: a crystal structure in Alexandria, relaxed with GGA-PBE.

Cell and atoms:
Unit cell a=10.903 b=3.979 c=10.630 alpha=90.00 beta=90.00 gamma=90.00
Space group Pnma (No. 62)
Unique sites:
Sm: 0.009 0.250 0.186 (multiplicity 4)
Sm: 0.192 0.250 0.504 (multiplicity 4)
S: 0.046 0.750 0.374 (multiplicity 4)
S: 0.120 0.250 0.945 (multiplicity 4)
S: 0.229 0.750 0.698 (multiplicity 4)

Peak list (6 most intense, 15 to 90 degrees two-theta, by angle)
(hkl), 2theta, I_rel
2 0 2, 23.37, 100.0
0 1 1, 23.88, 45.9
3 0 1, 25.91, 55.1
1 0 3, 26.45, 48.4
1 1 2, 29.21, 50.4
1 1 3, 34.89, 59.2

***

Question: Number 2 is which compound?
Answer: Tb12Zn6Ru